Computed X-ray powder pattern
Compound: K2CoH2S2O8
Radiation: copper Kα
Structure: a cell relaxed with PBE+U
Kinematic intensities with the Lorentz-polarization factor, no thermal factor.

Structure:
Cell: 4.9448 14.5778 7.1916 Å, 90.00 120.02 90.00°
Space group P2_1/c (No. 14)
One atom of each set of equivalent atoms:
1 K 0.1270 0.1577 0.3963 x4
2 Co 0.5000 0.0000 0.0000 x2
3 H 0.4543 0.0906 0.1005 x4
4 S 0.1173 0.6058 0.6980 x4
5 O 0.0396 0.0186 0.7896 x4
6 O 0.1023 0.1567 0.0027 x4
7 O 0.2103 0.6631 0.8892 x4
8 O 0.4101 0.5805 0.6942 x4

Largest 6 diffraction maxima, by intensity, 2θ from 5° to 70°:
hkl	2theta	d_spacing	intensity
0 3 1	23.2	3.831	100
0 1 1	15.5	5.726	96
0 2 0	12.1	7.289	81
1 3 -1	26.0	3.427	76
0 2 1	18.7	4.734	64
1 1 1	31.3	2.856	62